[1]
For LiTa2Te4Br10O, a cell relaxed with GGA-PBE gives the simulated powder XRD pattern in this record (Cu Kα (weighted mean of Kα1 and Kα2)).
Lines closer than 0.1° are merged.

Cell and atoms:
```
data_LiTa2Te4Br10O
_chemical_formula_sum 'Li1 Ta2 Te4 Br10 O1'
_symmetry_space_group_name_H-M 'P 1'
_symmetry_Int_Tables_number 1
_cell_length_a 7.400
_cell_length_b 9.180
_cell_length_c 10.085
_cell_angle_alpha 95.07
_cell_angle_beta 91.95
_cell_angle_gamma 105.59
loop_
_symmetry_equiv_pos_as_xyz
'x,y,z'
loop_
_atom_site_label
_atom_site_fract_x
_atom_site_fract_y
_atom_site_fract_z
Li1 0.000 0.000 0.000
Ta1 0.608 0.388 0.669
Ta2 0.629 0.128 0.943
Te1 0.048 0.959 0.337
Te2 0.208 0.587 0.299
Te3 0.322 0.857 0.462
Te4 0.933 0.689 0.173
Br1 0.276 0.205 0.589
Br2 0.304 0.943 0.890
Br3 0.439 0.525 0.824
Br4 0.505 0.276 0.118
Br5 0.586 0.563 0.487
Br6 0.680 0.942 0.134
Br7 0.747 0.228 0.510
Br8 0.769 0.953 0.789
Br9 0.922 0.551 0.754
Br10 0.971 0.281 0.020
O1 0.615 0.248 0.809
```

Principal peaks in the range 2θ = 5–70°, in order of rising 2θ:
(0 1 1), d 6.304, rel. 87; (1 0 -1), d 5.975, rel. 100; (0 1 -2), d 4.559, rel. 88; (-1 2 2), d 3.169, rel. 63; (2 1 1), d 2.828, rel. 57; (2 3 -1), d 2.010, rel. 44

=====

[2]
For LiTa2Te4Br10O, a cell relaxed with GGA-PBE gives the simulated powder XRD pattern in this record (Cu Kα (weighted mean of Kα1 and Kα2)).
Lines closer than 0.1° are merged.

Cell and atoms:
```
data_LiTa2Te4Br10O
_chemical_formula_sum 'Li1 Ta2 Te4 Br10 O1'
_symmetry_space_group_name_H-M 'P 1'
_symmetry_Int_Tables_number 1
_cell_length_a 7.827
_cell_length_b 8.585
_cell_length_c 9.927
_cell_angle_alpha 94.98
_cell_angle_beta 91.66
_cell_angle_gamma 103.43
loop_
_symmetry_equiv_pos_as_xyz
'x,y,z'
loop_
_atom_site_label
_atom_site_fract_x
_atom_site_fract_y
_atom_site_fract_z
Li1 0.000 0.000 0.000
Ta1 0.868 0.476 0.145
Ta2 0.893 0.200 0.420
Te1 0.198 0.735 0.633
Te2 0.284 0.033 0.785
Te3 0.464 0.643 0.770
Te4 0.542 0.932 0.931
Br1 0.056 0.033 0.259
Br2 0.171 0.637 0.201
Br3 0.207 0.368 0.496
Br4 0.560 0.318 0.048
Br5 0.597 0.030 0.346
Br6 0.721 0.638 0.300
Br7 0.773 0.375 0.585
Br8 0.853 0.687 0.951
Br9 0.918 0.999 0.599
Br10 0.989 0.300 0.960
O1 0.882 0.333 0.275
```

Principal peaks in the range 2θ = 5–70°, in order of rising 2θ:
(1 0 -1), d 6.178, rel. 100; (0 1 1), d 6.078, rel. 53; (0 1 -2), d 4.437, rel. 70; (-1 2 2), d 3.043, rel. 70; (2 1 1), d 2.964, rel. 57; (-2 2 2), d 2.651, rel. 43

=====

[3]
For LiTa2Te4Br10O, a cell relaxed with GGA-PBE gives the simulated powder XRD pattern in this record (Cu Kα (weighted mean of Kα1 and Kα2)).
Lines closer than 0.1° are merged.

Cell and atoms:
```
data_LiTa2Te4Br10O
_chemical_formula_sum 'Li1 Ta2 Te4 Br10 O1'
_symmetry_space_group_name_H-M 'P 1'
_symmetry_Int_Tables_number 1
_cell_length_a 7.629
_cell_length_b 9.047
_cell_length_c 9.790
_cell_angle_alpha 83.92
_cell_angle_beta 89.89
_cell_angle_gamma 74.97
loop_
_symmetry_equiv_pos_as_xyz
'x,y,z'
loop_
_atom_site_label
_atom_site_fract_x
_atom_site_fract_y
_atom_site_fract_z
Li1 0.000 0.000 0.000
Ta1 0.207 0.357 0.647
Ta2 0.251 0.614 0.922
Te1 0.571 0.081 0.133
Te2 0.659 0.804 0.300
Te3 0.837 0.173 0.274
Te4 0.915 0.897 0.442
Br1 0.023 0.218 0.818
Br2 0.119 0.469 0.110
Br3 0.183 0.167 0.469
Br4 0.276 0.814 0.111
Br5 0.352 0.508 0.478
Br6 0.385 0.779 0.755
Br7 0.500 0.176 0.731
Br8 0.568 0.457 0.000
Br9 0.892 0.532 0.568
Br10 0.931 0.793 0.866
O1 0.222 0.487 0.789
```

Principal peaks in the range 2θ = 5–70°, in order of rising 2θ:
(0 1 -1), d 6.155, rel. 67; (1 0 -1), d 5.949, rel. 100; (0 1 2), d 4.458, rel. 62; (1 2 -2), d 3.069, rel. 77; (2 -1 1), d 2.912, rel. 55; (2 2 -2), d 2.636, rel. 45

=====

[4]
For LiTa2Te4Br10O, a cell relaxed with GGA-PBE gives the simulated powder XRD pattern in this record (Cu Kα (weighted mean of Kα1 and Kα2)).
Lines closer than 0.1° are merged.

Cell and atoms:
```
data_LiTa2Te4Br10O
_chemical_formula_sum 'Li1 Ta2 Te4 Br10 O1'
_symmetry_space_group_name_H-M 'P 1'
_symmetry_Int_Tables_number 1
_cell_length_a 7.922
_cell_length_b 9.112
_cell_length_c 9.966
_cell_angle_alpha 96.60
_cell_angle_beta 94.42
_cell_angle_gamma 102.78
loop_
_symmetry_equiv_pos_as_xyz
'x,y,z'
loop_
_atom_site_label
_atom_site_fract_x
_atom_site_fract_y
_atom_site_fract_z
Li1 0.000 0.000 0.000
Ta1 0.087 0.621 0.951
Ta2 0.129 0.362 0.220
Te1 0.419 0.905 0.430
Te2 0.511 0.189 0.580
Te3 0.690 0.822 0.572
Te4 0.798 0.113 0.708
Br1 0.048 0.834 0.784
Br2 0.150 0.172 0.394
Br3 0.209 0.483 0.768
Br4 0.278 0.205 0.052
Br5 0.376 0.791 0.035
Br6 0.429 0.520 0.308
Br7 0.779 0.469 0.853
Br8 0.834 0.186 0.122
Br9 0.933 0.770 0.122
Br10 0.985 0.509 0.380
O1 0.106 0.489 0.080
```

Principal peaks in the range 2θ = 5–70°, in order of rising 2θ:
(1 0 -1), d 6.393, rel. 100; (0 1 1), d 6.160, rel. 44; (0 1 -2), d 4.568, rel. 48; (1 0 -2), d 4.354, rel. 38; (-1 2 2), d 3.115, rel. 38; (2 1 1), d 2.969, rel. 38